K6SnCl8: theoretical powder XRD pattern (Cu Kα (weighted mean of Kα1 and Kα2)), based on DFT lattice parameters and positions (PBE).
Kinematic intensities with the Lorentz-polarization factor, no thermal factor.

Main lines, in order of rising 2θ (10 to 90 degrees two-theta):
hkl	2theta	I (rel.)
1 0 1	11.88	51
0 0 3	14.03	42
1 1 3	23.68	73
2 1 1	29.56	31
3 -2 2	30.70	42
3 0 0	33.18	66
1 1 6	34.28	100
3 -1 4	34.91	30
3 -2 5	37.79	32
2 1 7	44.69	25

Unit cell a=9.3523 b=9.3523 c=18.9321 alpha=90.00 beta=90.00 gamma=120.00
Space group R-3 (No. 148, hexagonal axes)
Asymmetric unit:
K 0.0189 0.4033 0.4202
Sn 0.0000 0.0000 0.5000
Cl 0.0000 0.0000 0.1620
Cl 0.0125 0.2572 0.5872